Diffraction record for AcMgF5. The powder diffractogram is theoretical, not measured: it uses a GGA-PBE-relaxed structure and Cu Kα (weighted mean of Kα1 and Kα2).
No peak broadening, texture or thermal motion is included.

Most intense lines, 10° ≤ 2θ ≤ 90°, in order of rising 2θ:
d/Å  2theta  Rel. int.  hkl
5.306  16.71  100.0  0 1 1
4.331  20.50  72.3  0 0 2
3.758  23.67  39.1  1 0 1
3.543  25.14  79.5  1 1 0
3.356  26.56  40.3  0 2 0
2.742  32.65  38.7  1 1 2
2.653  33.79  45.4  0 1 3
2.503  35.87  57.5  1 2 1
1.939  46.85  47.1  1 2 3
1.848  49.32  25.1  1 1 4

Cell and atoms:
```
data_AcMgF5
_symmetry_space_group_name_H-M 'I m m m'
_symmetry_Int_Tables_number 71
_symmetry_space_group_name_Hall '-I 2 2'
_cell_length_a 4.1713
_cell_length_b 6.7127
_cell_length_c 8.6628
_cell_angle_alpha 90.00
_cell_angle_beta 90.00
_cell_angle_gamma 90.00
loop_
_atom_site_label
_atom_site_fract_x
_atom_site_fract_y
_atom_site_fract_z
Ac1 0.0000 0.0000 0.0000
Mg1 0.0000 0.0000 0.5000
F1 0.0000 0.0000 0.2711
F2 0.0000 0.2982 0.5000
F3 0.0000 0.5000 0.0000
```